Entry 1:
Calculated PXRD pattern
Compound: AcSbPt
Radiation: Cu Kα, 1.54184 Å
Structure: a cell relaxed with PBE

Most intense lines, 5 to 70 degrees two-theta, low angle first:
4.431 Å, 20.0°, I = 3, (0 0 1)
4.024 Å, 22.1°, I = 5, (1 0 0)
2.979 Å, 30.0°, I = 100, (0 1 1)
2.324 Å, 38.8°, I = 50, (1 1 0)
2.216 Å, 40.7°, I = 13, (0 0 2)
1.941 Å, 46.8°, I = 4, (1 0 2)
1.832 Å, 49.8°, I = 25, (2 0 1)
1.604 Å, 57.5°, I = 30, (1 1 2)
1.439 Å, 64.8°, I = 23, (1 2 1)
1.387 Å, 67.6°, I = 10, (0 1 3)

Structural model:
```
data_AcSbPt
_chemical_formula_sum 'Ac1 Sb1 Pt1'
_space_group_name_H-M_alt 'P 3 m 1'
_space_group_IT_number 156
_cell_length_a 4.6471
_cell_length_b 4.6471
_cell_length_c 4.4315
_cell_angle_alpha 90.00
_cell_angle_beta 90.00
_cell_angle_gamma 120.00
loop_
_space_group_symop_operation_xyz
'x,y,z'
'-y,x-y,z'
'-x+y,-x,z'
'-y,-x,z'
'-x+y,y,z'
'x,x-y,z'
loop_
_atom_site_label
_atom_site_fract_x
_atom_site_fract_y
_atom_site_fract_z
_atom_site_occupancy
Ac1 0.0000 0.0000 0.0000 1
Sb1 0.3333 0.6667 0.4919 1
Pt1 0.6667 0.3333 0.5392 1
```

***

Entry 2:
Calculated PXRD pattern
Compound: Cs2PuI4Br2
Radiation: Cu Kα, 1.54184 Å
Structure: a cell relaxed with PBE

Most intense lines, 5 to 70 degrees two-theta, low angle first:
7.250 Å, 12.2°, I = 19, (1 1 0)
7.040 Å, 12.6°, I = 38, (0 0 1)
4.908 Å, 18.1°, I = 23, (1 1 1)
3.529 Å, 25.2°, I = 22, (0 0 2)
3.308 Å, 27.0°, I = 100, (2 2 -1)
3.147 Å, 28.4°, I = 31, (2 2 1)
3.001 Å, 29.8°, I = 27, (4 0 1)
2.609 Å, 34.4°, I = 30, (2 2 -2)
2.047 Å, 44.3°, I = 29, (6 2 0)
1.920 Å, 47.3°, I = 20, (2 2 3)

Structural model:
```
data_Cs2PuI4Br2
_chemical_formula_sum 'Cs4 Pu2 I8 Br4'
_space_group_name_H-M_alt 'C 1 2/m 1'
_space_group_IT_number 12
_cell_length_a 14.1285
_cell_length_b 8.4684
_cell_length_c 7.1083
_cell_angle_alpha 90.00
_cell_angle_beta 96.84
_cell_angle_gamma 90.00
loop_
_space_group_symop_operation_xyz
'x,y,z'
'-x,-y,-z'
'-x,y,-z'
'x,-y,z'
'x+1/2,y+1/2,z'
'-x+1/2,-y+1/2,-z'
'-x+1/2,y+1/2,-z'
'x+1/2,-y+1/2,z'
loop_
_atom_site_label
_atom_site_fract_x
_atom_site_fract_y
_atom_site_fract_z
_atom_site_occupancy
Cs1 0.1644 0.0000 0.2692 1
Pu1 0.0000 0.5000 0.0000 1
I1 0.0932 0.2472 0.7866 1
Br1 0.1558 0.5000 0.2719 1
```

***

Entry 3:
Calculated PXRD pattern
Compound: HfCrS4
Radiation: Cu Kα, 1.54184 Å
Structure: a cell relaxed with PBE

Most intense lines, 5 to 70 degrees two-theta, low angle first:
5.833 Å, 15.2°, I = 18, (0 1 1)
5.656 Å, 15.7°, I = 100, (1 0 1)
4.878 Å, 18.2°, I = 18, (0 0 2)
3.060 Å, 29.2°, I = 48, (1 2 1)
2.945 Å, 30.4°, I = 24, (1 0 3)
2.511 Å, 35.8°, I = 59, (2 2 0)
2.439 Å, 36.9°, I = 27, (0 0 4)
2.289 Å, 39.4°, I = 25, (1 2 3)
1.750 Å, 52.3°, I = 37, (2 2 4)
1.414 Å, 66.1°, I = 14, (4 0 4)

Structural model:
```
data_HfCrS4
_chemical_formula_sum 'Hf4 Cr4 S16'
_space_group_name_H-M_alt 'I m m a'
_space_group_IT_number 74
_space_group_name_Hall '-I 2b 2'
_cell_length_a 6.9411
_cell_length_b 7.2761
_cell_length_c 9.7561
_cell_angle_alpha 90.00
_cell_angle_beta 90.00
_cell_angle_gamma 90.00
loop_
_atom_site_label
_atom_site_fract_x
_atom_site_fract_y
_atom_site_fract_z
_atom_site_occupancy
Hf1 0.0000 0.0000 0.0000 1
Cr1 0.2500 0.2500 0.2500 1
S1 0.0000 0.0257 0.2577 1
S2 0.2455 0.2500 0.4968 1
```

***

Entry 4:
Calculated PXRD pattern
Compound: Sr4TlPt
Radiation: Cu Kα, 1.54184 Å
Structure: a cell relaxed with PBE

Most intense lines, 5 to 70 degrees two-theta, low angle first:
7.335 Å, 12.1°, I = 55, (0 2 0)
6.242 Å, 14.2°, I = 42, (1 1 -1)
4.270 Å, 20.8°, I = 35, (1 3 0)
3.272 Å, 27.3°, I = 55, (3 1 -1)
3.091 Å, 28.9°, I = 35, (0 0 2)
2.849 Å, 31.4°, I = 100, (1 3 -2)
2.782 Å, 32.2°, I = 41, (1 5 0)
2.740 Å, 32.7°, I = 60, (2 2 1)
2.543 Å, 35.3°, I = 51, (3 3 -2)
2.508 Å, 35.8°, I = 56, (3 3 0)

Structural model:
```
data_Sr4TlPt
_chemical_formula_sum 'Sr16 Tl4 Pt4'
_space_group_name_H-M_alt 'C 1 2/c 1'
_space_group_IT_number 15
_cell_length_a 10.0710
_cell_length_b 14.6693
_cell_length_c 7.1014
_cell_angle_alpha 90.00
_cell_angle_beta 119.49
_cell_angle_gamma 90.00
loop_
_space_group_symop_operation_xyz
'x,y,z'
'-x,-y,-z'
'-x,y,-z+1/2'
'x,-y,z+1/2'
'x+1/2,y+1/2,z'
'-x+1/2,-y+1/2,-z'
'-x+1/2,y+1/2,-z+1/2'
'x+1/2,-y+1/2,z+1/2'
loop_
_atom_site_label
_atom_site_fract_x
_atom_site_fract_y
_atom_site_fract_z
_atom_site_occupancy
Sr1 0.1151 0.1698 0.0782 1
Sr2 0.2162 0.4358 0.3001 1
Tl1 0.0000 0.3664 0.7500 1
Pt1 0.0000 0.0024 0.2500 1
```

***

Entry 5:
Calculated PXRD pattern
Compound: NaAgF6
Radiation: Cu Kα, 1.54184 Å
Structure: a cell relaxed with PBE

Most intense lines, 5 to 70 degrees two-theta, low angle first:
4.928 Å, 18.0°, I = 33, (0 0 1)
4.349 Å, 20.4°, I = 77, (0 1 0)
3.875 Å, 23.0°, I = 100, (1 0 1)
2.869 Å, 31.2°, I = 47, (1 1 2)
2.627 Å, 34.1°, I = 12, (2 1 1)
2.318 Å, 38.8°, I = 39, (2 1 2)
2.174 Å, 41.5°, I = 21, (2 2 2)
1.937 Å, 46.9°, I = 11, (2 0 2)
1.797 Å, 50.8°, I = 40, (1 2 -1)
1.560 Å, 59.2°, I = 11, (1 3 0)

Structural model:
```
data_NaAgF6
_chemical_formula_sum 'Na1 Ag1 F6'
_space_group_name_H-M_alt 'P -1'
_space_group_IT_number 2
_cell_length_a 5.2495
_cell_length_b 5.2542
_cell_length_c 5.7831
_cell_angle_alpha 63.05
_cell_angle_beta 63.08
_cell_angle_gamma 60.08
loop_
_space_group_symop_operation_xyz
'x,y,z'
'-x,-y,-z'
loop_
_atom_site_label
_atom_site_fract_x
_atom_site_fract_y
_atom_site_fract_z
_atom_site_occupancy
Na1 0.0000 0.0000 0.0000 1
Ag1 0.5000 0.5000 0.5000 1
F1 0.1116 0.7086 0.7293 1
F2 0.2904 0.5493 0.2709 1
F3 0.4504 0.1115 0.7294 1
```

***

- Number 1 is which compound?
  AcSbPt